Simulated powder diffraction line list
Compound: BaZnFe6O11
Radiation: λ = 1.5418 Å (Cu Kα)
Structure: a DFT-relaxed cell (GGA+U, Alexandria)
No peak broadening, texture or thermal motion is included.

Crystal structure
```
data_BaZnFe6O11
_symmetry_space_group_name_H-M 'C 1 m 1'
_symmetry_Int_Tables_number 8
_cell_length_a 10.2617
_cell_length_b 5.9313
_cell_length_c 14.9656
_cell_angle_alpha 90.00
_cell_angle_beta 102.76
_cell_angle_gamma 90.00
loop_
_symmetry_equiv_pos_as_xyz
'x,y,z'
'x,-y,z'
'x+1/2,y+1/2,z'
'x+1/2,-y+1/2,z'
loop_
_atom_site_label
_atom_site_fract_x
_atom_site_fract_y
_atom_site_fract_z
_atom_site_occupancy
Ba1 0.0000 0.0000 0.0000 1
Ba2 0.0952 0.5000 0.7865 1
Zn1 0.1463 0.0000 0.4329 1
Zn2 0.4533 0.0000 0.3475 1
Fe1 0.1591 0.2462 0.2241 1
Fe2 0.1738 0.5000 0.0197 1
Fe3 0.1863 0.5000 0.5587 1
Fe4 0.2319 0.0000 0.6938 1
Fe5 0.2971 0.0000 0.8940 1
Fe6 0.3013 0.5000 0.3907 1
Fe7 0.3666 0.0000 0.0926 1
Fe8 0.4112 0.5000 0.2240 1
Fe9 0.4212 0.5000 0.7640 1
Fe10 0.4394 0.2467 0.5589 1
O1 0.0973 0.0000 0.2964 1
O2 0.1112 0.0000 0.8070 1
O3 0.1242 0.5000 0.3065 1
O4 0.1284 0.2549 0.6361 1
O5 0.2150 0.0000 0.1484 1
O6 0.2253 0.5000 0.1502 1
O7 0.2471 0.2356 0.9829 1
O8 0.2538 0.2751 0.4755 1
O9 0.3460 0.2356 0.8058 1
O10 0.3485 0.2782 0.3045 1
O11 0.3793 0.5000 0.6350 1
O12 0.3832 0.0000 0.6362 1
O13 0.4705 0.2587 0.1499 1
O14 0.4775 0.5000 0.4768 1
O15 0.4811 0.0000 0.9819 1
O16 0.4979 0.0000 0.4849 1
```

Peak list (8 most intense, 2θ from 10° to 80°, by intensity)
d_spacing  I_rel  h k l
2.964  100.0  0 2 0
2.535  58.4  3 1 2
1.482  57.9  0 4 0
2.822  51.1  1 1 4
2.211  38.9  2 2 -4
2.667  38.5  1 1 -5
2.523  28.8  3 1 -4
2.806  25.0  2 0 -5